(1)
La2BeHgPd6: simulated PXRD pattern (Cu Kα, 1.54184 Å), based on a crystal structure in Alexandria, relaxed with PBE.
Kinematic intensities with the Lorentz-polarization factor, no thermal factor.

Top 10 peaks for 15° ≤ 2θ ≤ 90°, by intensity:
two_theta, I_rel
39.23, 100.0
36.20, 56.8
38.56, 45.6
41.37, 36.4
63.06, 29.6
17.87, 28.6
24.31, 25.9
76.40, 25.4
49.81, 25.0
32.96, 23.4

Cell and atoms:
```
data_La2BeHgPd6
_chemical_formula_sum 'La4 Be2 Hg2 Pd12'
_cell_length_a 10.2164
_cell_length_b 5.8958
_cell_length_c 7.7909
_cell_angle_alpha 90.00
_cell_angle_beta 115.98
_cell_angle_gamma 90.00
_space_group_name_H-M_alt 'C 1 2/m 1'
_space_group_IT_number 12
_space_group_name_Hall '-C 2y'
loop_
_atom_site_label
_atom_site_type_symbol
_atom_site_fract_x
_atom_site_fract_y
_atom_site_fract_z
_atom_site_occupancy
La1 La 0.2474 0.0000 0.2417 1
Be1 Be 0.0000 0.5000 0.0000 1
Hg1 Hg 0.0000 0.0000 0.5000 1
Pd1 Pd 0.0272 0.2389 0.8214 1
Pd2 Pd 0.2337 0.5000 0.1780 1
```


(2)
CaH3Pt: simulated PXRD pattern (Cu Kα, 1.54184 Å), based on a crystal structure in Alexandria, relaxed with PBE.
Kinematic intensities with the Lorentz-polarization factor, no thermal factor.

Top 10 peaks for 15° ≤ 2θ ≤ 90°, by intensity:
two_theta, I_rel
32.64, 100.0
19.38, 77.2
34.96, 54.3
33.70, 48.5
17.33, 43.3
29.89, 35.3
33.99, 32.8
51.16, 25.6
58.49, 25.2
42.18, 21.8

Cell and atoms:
```
data_CaH3Pt
_chemical_formula_sum 'Ca4 H12 Pt4'
_cell_length_a 12.4694
_cell_length_b 3.5706
_cell_length_c 5.3348
_cell_angle_alpha 90.00
_cell_angle_beta 106.46
_cell_angle_gamma 90.00
_space_group_name_H-M_alt 'C 1 2/m 1'
_space_group_IT_number 12
_space_group_name_Hall '-C 2y'
loop_
_atom_site_label
_atom_site_type_symbol
_atom_site_fract_x
_atom_site_fract_y
_atom_site_fract_z
_atom_site_occupancy
Ca1 Ca 0.1099 0.0000 0.3228 1
H1 H 0.0197 0.5000 0.7581 1
H2 H 0.1895 0.0000 0.9478 1
H3 H 0.1941 0.5000 0.5562 1
Pt1 Pt 0.1568 0.5000 0.8565 1
```


(3)
Th2Re2N5: simulated PXRD pattern (Cu Kα, 1.54184 Å), based on a crystal structure in Alexandria, relaxed with PBE.
Kinematic intensities with the Lorentz-polarization factor, no thermal factor.

Top 10 peaks for 15° ≤ 2θ ≤ 90°, by intensity:
two_theta, I_rel
32.19, 100.0
31.74, 86.4
30.89, 42.4
44.64, 21.9
55.21, 15.6
46.35, 14.8
56.93, 12.1
57.58, 11.4
41.42, 11.0
56.74, 10.5

Cell and atoms:
```
data_Th2Re2N5
_chemical_formula_sum 'Th8 Re8 N20'
_cell_length_a 7.9201
_cell_length_b 15.6714
_cell_length_c 5.5531
_cell_angle_alpha 90.00
_cell_angle_beta 133.02
_cell_angle_gamma 90.00
_space_group_name_H-M_alt 'C 1 2/m 1'
_space_group_IT_number 12
_space_group_name_Hall '-C 2y'
loop_
_atom_site_label
_atom_site_type_symbol
_atom_site_fract_x
_atom_site_fract_y
_atom_site_fract_z
_atom_site_occupancy
Th1 Th 0.2293 0.1411 0.4755 1
Re1 Re 0.1661 0.5000 0.0093 1
Re2 Re 0.2500 0.2500 0.0000 1
N1 N 0.0000 0.2611 0.0000 1
N2 N 0.0000 0.2707 0.5000 1
N3 N 0.1727 0.5000 0.3912 1
N4 N 0.1929 0.1123 0.9336 1
```


(4)
Pm2Dy2Tm7: simulated PXRD pattern (Cu Kα, 1.54184 Å), based on a crystal structure in Alexandria, relaxed with PBE.
Kinematic intensities with the Lorentz-polarization factor, no thermal factor.

Top 10 peaks for 15° ≤ 2θ ≤ 90°, by intensity:
two_theta, I_rel
32.38, 100.0
31.11, 61.0
34.03, 31.2
34.18, 23.2
25.95, 17.8
59.86, 14.9
45.51, 13.1
56.15, 11.6
50.18, 10.8
56.68, 10.7

Cell and atoms:
```
data_Pm2Dy2Tm7
_chemical_formula_sum 'Pm4 Dy4 Tm14'
_cell_length_a 11.0890
_cell_length_b 11.5006
_cell_length_c 5.9967
_cell_angle_alpha 90.00
_cell_angle_beta 113.62
_cell_angle_gamma 90.00
_space_group_name_H-M_alt 'C 1 2/m 1'
_space_group_IT_number 12
_space_group_name_Hall '-C 2y'
loop_
_atom_site_label
_atom_site_type_symbol
_atom_site_fract_x
_atom_site_fract_y
_atom_site_fract_z
_atom_site_occupancy
Pm1 Pm 0.0000 0.2112 0.0000 1
Dy1 Dy 0.0953 0.5000 0.3091 1
Tm1 Tm 0.0000 0.0000 0.5000 1
Tm2 Tm 0.1728 0.2368 0.6751 1
Tm3 Tm 0.2349 0.0000 0.0801 1
```